# CaMgB6O22
Computed powder X-ray diffraction pattern, CuKα. Input: a DFT-relaxed cell (PBE, the Materials Project).
Peak positions follow from Bragg's law for the DFT cell and can differ from measured ones.

Cell and atoms:
```
data_CaMgB6O22
_chemical_formula_sum 'Ca4 Mg4 B24 O88'
_cell_length_a 11.2452
_cell_length_b 7.7881
_cell_length_c 18.1751
_cell_angle_alpha 90.00
_cell_angle_beta 93.42
_cell_angle_gamma 90.00
_space_group_name_H-M_alt 'C 1 2/c 1'
_space_group_IT_number 15
loop_
_space_group_symop_operation_xyz
'x,y,z'
'-x,-y,-z'
'-x,y,-z+1/2'
'x,-y,z+1/2'
'x+1/2,y+1/2,z'
'-x+1/2,-y+1/2,-z'
'-x+1/2,y+1/2,-z+1/2'
'x+1/2,-y+1/2,z+1/2'
loop_
_atom_site_label
_atom_site_type_symbol
_atom_site_fract_x
_atom_site_fract_y
_atom_site_fract_z
Ca1 Ca 0.0000 0.2372 0.2500
Mg1 Mg 0.0000 0.0000 0.0000
B1 B 0.0501 0.3717 0.8411
B2 B 0.1100 0.1484 0.6440
B3 B 0.1141 0.0693 0.8464
O1 O 0.0184 0.0200 0.6712
O2 O 0.0651 0.3243 0.6428
O3 O 0.0679 0.4604 0.3252
O4 O 0.0913 0.3342 0.0484
O5 O 0.1182 0.0052 0.9203
O6 O 0.1259 0.0829 0.5733
O7 O 0.1320 0.3400 0.1163
O8 O 0.1348 0.4390 0.0026
O9 O 0.1388 0.2508 0.8410
O10 O 0.1656 0.0380 0.2915
O11 O 0.2142 0.1386 0.6959
```

Largest 12 diffraction maxima, in order of rising 2θ, 2θ = 10–90°:
d/Å	I/Imax	index
6.399	40	1 1 0
5.613	100	2 0 0
4.472	29	1 1 -3
3.636	25	2 0 -4
3.280	44	3 1 1
3.203	65	1 1 -5
3.169	48	2 2 -1
3.110	44	1 1 5
2.986	26	2 2 2
2.638	26	4 0 2
2.529	25	1 3 0
2.164	35	4 2 -3

# LiPdW2
Computed powder X-ray diffraction pattern, CuKα. Input: a DFT-relaxed cell (PBE, the Materials Project).
Peak positions follow from Bragg's law for the DFT cell and can differ from measured ones.

Cell and atoms:
```
data_LiPdW2
_chemical_formula_sum 'Li4 Pd4 W8'
_cell_length_a 6.2122
_cell_length_b 6.2122
_cell_length_c 6.2122
_cell_angle_alpha 90.00
_cell_angle_beta 90.00
_cell_angle_gamma 90.00
_space_group_name_H-M_alt 'F m -3 m'
_space_group_IT_number 225
_space_group_name_Hall '-F 4 2 3'
loop_
_atom_site_label
_atom_site_type_symbol
_atom_site_fract_x
_atom_site_fract_y
_atom_site_fract_z
Li1 Li 0.0000 0.0000 0.0000
Pd1 Pd 0.0000 0.0000 0.5000
W1 W 0.2500 0.2500 0.2500
```

Largest 11 diffraction maxima, in order of rising 2θ, 2θ = 10–90°:
d/Å	I/Imax	index
3.587	12	1 1 1
3.106	35	2 0 0
2.196	100	2 2 0
1.873	6	3 1 1
1.793	10	2 2 2
1.553	17	4 0 0
1.425	2	3 3 1
1.389	13	4 2 0
1.268	34	4 2 2
1.196	2	5 1 1
1.098	11	4 4 0

# Cu2OF2
Computed powder X-ray diffraction pattern, CuKα. Input: a DFT-relaxed cell (PBE, the Materials Project).
Peak positions follow from Bragg's law for the DFT cell and can differ from measured ones.

Cell and atoms:
```
data_Cu2OF2
_chemical_formula_sum 'Cu16 O8 F16'
_cell_length_a 8.3937
_cell_length_b 8.4408
_cell_length_c 8.4436
_cell_angle_alpha 109.92
_cell_angle_beta 108.67
_cell_angle_gamma 108.71
_space_group_name_H-M_alt 'P 1'
_space_group_IT_number 1
loop_
_space_group_symop_operation_xyz
'x,y,z'
loop_
_atom_site_label
_atom_site_type_symbol
_atom_site_fract_x
_atom_site_fract_y
_atom_site_fract_z
Cu1 Cu 0.0000 0.0000 0.0000
Cu2 Cu 0.0018 0.2220 0.7553
Cu3 Cu 0.1717 0.4337 0.2031
Cu4 Cu 0.2561 0.6432 0.9377
Cu5 Cu 0.2867 0.1761 0.4947
Cu6 Cu 0.3133 0.9737 0.7916
Cu7 Cu 0.4596 0.9124 0.4702
Cu8 Cu 0.4934 0.1776 0.2633
Cu9 Cu 0.5413 0.7392 0.7759
Cu10 Cu 0.5575 0.5241 0.0733
Cu11 Cu 0.7496 0.4632 0.7192
Cu12 Cu 0.7544 0.2226 0.0268
Cu13 Cu 0.7647 0.9234 0.2725
Cu14 Cu 0.7781 0.7478 0.5450
Cu15 Cu 0.9823 0.4297 0.4958
Cu16 Cu 0.9863 0.6848 0.2502
O1 O 0.4992 0.1506 0.4799
O2 O 0.5322 0.7278 0.0298
O3 O 0.5510 0.9817 0.8152
O4 O 0.7809 0.7796 0.7816
O5 O 0.7954 0.7176 0.3155
O6 O 0.9505 0.2072 0.9664
O7 O 0.9700 0.4534 0.2719
O8 O 0.9849 0.4462 0.7399
F1 F 0.0666 0.1853 0.5208
F2 F 0.0888 0.0131 0.7622
F3 F 0.1998 0.7136 0.1857
F4 F 0.2314 0.9314 0.5307
F5 F 0.2508 0.6394 0.6695
F6 F 0.2539 0.2168 0.2256
F7 F 0.2841 0.4207 0.0080
F8 F 0.2926 0.9177 0.9963
F9 F 0.4154 0.6506 0.4303
F10 F 0.4790 0.4603 0.6782
F11 F 0.5471 0.2817 0.0807
F12 F 0.7268 0.4844 0.4823
F13 F 0.7355 0.9739 0.5437
F14 F 0.7367 0.1475 0.2860
F15 F 0.7557 0.4597 0.9460
F16 F 0.9965 0.9017 0.1861
```

Largest 12 diffraction maxima, in order of rising 2θ, 2θ = 10–90°:
d/Å	I/Imax	index
3.999	9	0 1 -2
3.972	15	2 -1 0
2.859	48	1 1 1
2.814	100	1 1 -3
2.797	46	-3 1 1
2.453	26	2 2 -2
2.423	12	-2 2 2
1.740	21	4 0 0
1.738	10	0 4 0
1.728	13	0 4 -4
1.710	22	4 0 -4
1.471	10	5 1 -3

# ZrTiCr4
Computed powder X-ray diffraction pattern, CuKα. Input: a DFT-relaxed cell (PBE, the Materials Project).
Peak positions follow from Bragg's law for the DFT cell and can differ from measured ones.

Cell and atoms:
```
data_ZrTiCr4
_chemical_formula_sum 'Zr4 Ti4 Cr16'
_cell_length_a 7.0155
_cell_length_b 7.0155
_cell_length_c 7.0155
_cell_angle_alpha 90.00
_cell_angle_beta 90.00
_cell_angle_gamma 90.00
_space_group_name_H-M_alt 'F -4 3 m'
_space_group_IT_number 216
_space_group_name_Hall 'F -4 2 3'
loop_
_atom_site_label
_atom_site_type_symbol
_atom_site_fract_x
_atom_site_fract_y
_atom_site_fract_z
Zr1 Zr 0.0000 0.0000 0.0000
Ti1 Ti 0.2500 0.2500 0.7500
Cr1 Cr 0.1248 0.1248 0.3752
```

Largest 12 diffraction maxima, in order of rising 2θ, 2θ = 10–90°:
d/Å	I/Imax	index
4.050	5	1 1 1
3.508	5	2 0 0
2.480	37	2 2 0
2.115	100	3 1 1
2.025	32	2 2 2
1.754	1	4 0 0
1.609	1	3 3 1
1.569	2	4 2 0
1.432	12	4 2 2
1.350	28	5 1 1
1.240	22	4 4 0
1.109	5	6 2 0

# Ag8GeTe6
Computed powder X-ray diffraction pattern, CuKα. Input: a DFT-relaxed cell (PBE, the Materials Project).
Peak positions follow from Bragg's law for the DFT cell and can differ from measured ones.

Cell and atoms:
```
data_Ag8GeTe6
_chemical_formula_sum 'Ag8 Ge1 Te6'
_cell_length_a 8.2136
_cell_length_b 8.2963
_cell_length_c 8.5911
_cell_angle_alpha 62.04
_cell_angle_beta 61.68
_cell_angle_gamma 62.82
_space_group_name_H-M_alt 'P 1'
_space_group_IT_number 1
loop_
_space_group_symop_operation_xyz
'x,y,z'
loop_
_atom_site_label
_atom_site_type_symbol
_atom_site_fract_x
_atom_site_fract_y
_atom_site_fract_z
Ag1 Ag 0.0000 0.0000 0.0000
Ag2 Ag 0.0020 0.3842 0.3311
Ag3 Ag 0.0225 0.3734 0.9996
Ag4 Ag 0.3479 0.3947 0.6534
Ag5 Ag 0.3675 0.7746 0.5092
Ag6 Ag 0.4149 0.7327 0.0366
Ag7 Ag 0.9409 0.7015 0.6845
Ag8 Ag 0.9834 0.0245 0.6734
Ge1 Ge 0.6952 0.1088 0.3951
Te1 Te 0.0267 0.3520 0.6581
Te2 Te 0.0893 0.0025 0.2831
Te3 Te 0.2158 0.6480 0.8999
Te4 Te 0.5930 0.0067 0.2218
Te5 Te 0.6031 0.0115 0.7675
Te6 Te 0.6262 0.4936 0.2857
```

Largest 12 diffraction maxima, in order of rising 2θ, 2θ = 10–90°:
d/Å	I/Imax	index
6.894	52	1 0 0
6.708	65	1 1 1
4.299	100	1 -1 0
3.581	79	1 2 0
3.447	58	2 0 0
2.529	45	1 0 3
2.362	40	2 0 3
2.328	75	0 3 0
2.312	60	1 3 3
2.298	39	3 0 0
2.274	41	2 3 0
2.152	75	2 -2 0

# Rb4P2PbSe8
Computed powder X-ray diffraction pattern, CuKα. Input: a DFT-relaxed cell (PBE, the Materials Project).
Peak positions follow from Bragg's law for the DFT cell and can differ from measured ones.

Cell and atoms:
```
data_Rb4P2PbSe8
_chemical_formula_sum 'Rb16 P8 Pb4 Se32'
_cell_length_a 9.5294
_cell_length_b 19.3927
_cell_length_c 10.6169
_cell_angle_alpha 90.00
_cell_angle_beta 90.00
_cell_angle_gamma 90.00
_space_group_name_H-M_alt 'I b a m'
_space_group_IT_number 72
_space_group_name_Hall '-I 2 2c'
loop_
_atom_site_label
_atom_site_type_symbol
_atom_site_fract_x
_atom_site_fract_y
_atom_site_fract_z
Rb1 Rb 0.0000 0.2358 0.2500
Rb2 Rb 0.1155 0.4136 0.0000
P1 P 0.2017 0.1257 0.0000
Pb1 Pb 0.0000 0.0000 0.2500
Se1 Se 0.0294 0.1045 0.5000
Se2 Se 0.2099 0.4254 0.3289
Se3 Se 0.2452 0.2629 0.5000
```

Largest 12 diffraction maxima, in order of rising 2θ, 2θ = 10–90°:
d/Å	I/Imax	index
8.553	44	1 1 0
3.768	22	1 3 2
3.583	62	0 4 2
3.330	25	2 2 2
3.232	37	0 6 0
3.136	75	3 1 0
2.975	34	1 5 2
2.904	32	3 2 1
2.862	100	2 4 2
2.738	43	1 4 3
2.655	38	0 0 4
2.001	27	2 8 2

# K2OsNCl5
Computed powder X-ray diffraction pattern, CuKα. Input: a DFT-relaxed cell (PBE, the Materials Project).
Peak positions follow from Bragg's law for the DFT cell and can differ from measured ones.

Cell and atoms:
```
data_K2OsNCl5
_chemical_formula_sum 'K8 Os4 N4 Cl20'
_cell_length_a 9.5647
_cell_length_b 16.2956
_cell_length_c 8.1128
_cell_angle_alpha 90.00
_cell_angle_beta 90.00
_cell_angle_gamma 90.00
_space_group_name_H-M_alt 'C m c 21'
_space_group_IT_number 36
loop_
_space_group_symop_operation_xyz
'x,y,z'
'-x,-y,z+1/2'
'-x,y,z'
'x,-y,z+1/2'
'x+1/2,y+1/2,z'
'-x+1/2,-y+1/2,z+1/2'
'-x+1/2,y+1/2,z'
'x+1/2,-y+1/2,z+1/2'
loop_
_atom_site_label
_atom_site_type_symbol
_atom_site_fract_x
_atom_site_fract_y
_atom_site_fract_z
K1 K 0.0000 0.0666 0.0000
K2 K 0.0000 0.3289 0.8432
Os1 Os 0.0000 0.1743 0.4613
N1 N 0.0000 0.1304 0.6469
Cl1 Cl 0.0000 0.2314 0.1664
Cl2 Cl 0.1699 0.2753 0.5091
Cl3 Cl 0.1783 0.0823 0.3522
```

Largest 12 diffraction maxima, in order of rising 2θ, 2θ = 10–90°:
d/Å	I/Imax	index
8.249	50	1 1 0
8.148	37	0 2 0
5.769	100	0 2 1
4.782	20	2 0 0
4.723	13	1 3 0
4.056	17	0 0 2
3.677	13	2 2 1
3.638	22	0 4 1
2.897	38	2 4 1
2.570	14	1 1 3
2.277	12	3 5 0
2.040	15	2 6 2

# ZrBeO3
Computed powder X-ray diffraction pattern, CuKα. Input: a DFT-relaxed cell (PBE, the Materials Project).
Peak positions follow from Bragg's law for the DFT cell and can differ from measured ones.

Cell and atoms:
```
data_ZrBeO3
_chemical_formula_sum 'Zr1 Be1 O3'
_cell_length_a 3.4692
_cell_length_b 3.4692
_cell_length_c 3.4692
_cell_angle_alpha 90.00
_cell_angle_beta 90.00
_cell_angle_gamma 90.00
_space_group_name_H-M_alt 'P m -3 m'
_space_group_IT_number 221
_space_group_name_Hall '-P 4 2 3'
loop_
_atom_site_label
_atom_site_type_symbol
_atom_site_fract_x
_atom_site_fract_y
_atom_site_fract_z
Zr1 Zr 0.0000 0.0000 0.0000
Be1 Be 0.5000 0.5000 0.5000
O1 O 0.0000 0.5000 0.5000
```

Largest 9 diffraction maxima, in order of rising 2θ, 2θ = 10–90°:
d/Å	I/Imax	index
3.469	90	1 0 0
2.453	100	1 1 0
2.003	94	1 1 1
1.735	50	2 0 0
1.551	37	2 1 0
1.416	37	2 1 1
1.227	28	2 2 0
1.156	18	3 0 0
1.097	17	3 1 0

# ScZnNi2
Computed powder X-ray diffraction pattern, CuKα. Input: a DFT-relaxed cell (PBE, the Materials Project).
Peak positions follow from Bragg's law for the DFT cell and can differ from measured ones.

Cell and atoms:
```
data_ScZnNi2
_chemical_formula_sum 'Sc4 Zn4 Ni8'
_cell_length_a 6.0441
_cell_length_b 6.0441
_cell_length_c 6.0441
_cell_angle_alpha 90.00
_cell_angle_beta 90.00
_cell_angle_gamma 90.00
_space_group_name_H-M_alt 'F m -3 m'
_space_group_IT_number 225
_space_group_name_Hall '-F 4 2 3'
loop_
_atom_site_label
_atom_site_type_symbol
_atom_site_fract_x
_atom_site_fract_y
_atom_site_fract_z
Sc1 Sc 0.0000 0.0000 0.0000
Zn1 Zn 0.0000 0.0000 0.5000
Ni1 Ni 0.2500 0.2500 0.2500
```

Largest 6 diffraction maxima, in order of rising 2θ, 2θ = 10–90°:
d/Å	I/Imax	index
3.490	3	1 1 1
2.137	100	2 2 0
1.822	2	3 1 1
1.511	15	4 0 0
1.387	1	3 3 1
1.234	29	4 2 2

# K2SrIn7
Computed powder X-ray diffraction pattern, CuKα. Input: a DFT-relaxed cell (PBE, the Materials Project).
Peak positions follow from Bragg's law for the DFT cell and can differ from measured ones.

Cell and atoms:
```
data_K2SrIn7
_chemical_formula_sum 'K8 Sr4 In28'
_cell_length_a 5.1302
_cell_length_b 12.2119
_cell_length_c 20.1129
_cell_angle_alpha 90.00
_cell_angle_beta 90.00
_cell_angle_gamma 90.00
_space_group_name_H-M_alt 'C m c m'
_space_group_IT_number 63
_space_group_name_Hall '-C 2c 2'
loop_
_atom_site_label
_atom_site_type_symbol
_atom_site_fract_x
_atom_site_fract_y
_atom_site_fract_z
K1 K 0.0000 0.1613 0.0516
Sr1 Sr 0.0000 0.3416 0.2500
In1 In 0.0000 0.0448 0.2500
In2 In 0.0000 0.1221 0.6302
In3 In 0.0000 0.3608 0.6744
In4 In 0.0000 0.4569 0.0710
```

Largest 12 diffraction maxima, in order of rising 2θ, 2θ = 10–90°:
d/Å	I/Imax	index
6.106	20	0 2 0
4.514	26	0 2 3
3.064	100	1 1 5
3.040	80	1 3 2
2.778	29	0 4 3
2.693	21	1 3 4
2.600	24	0 2 7
2.565	63	2 0 0
2.499	53	1 3 5
2.220	45	1 1 8
2.192	27	1 5 1
1.885	18	2 4 3